Record 1
Diffraction record for Ca16Mg12Pd. The powder X-ray diffraction pattern is computed, not measured: it uses DFT lattice parameters and positions (GGA-PBE) and Cu Kα (weighted mean of Kα1 and Kα2).

Top 10 peaks for 5° ≤ 2θ ≤ 70°, by angle:
2θ/deg  d (Å)  I (rel.)  hkl
10.1  8.773  27  1 1 0
10.3  8.615  27  1 1 -1
17.7  5.003  19  1 1 -2
30.6  2.924  79  0 0 3
30.9  2.895  61  4 2 -2
31.1  2.875  100  1 5 -2
34.3  2.614  25  2 0 -4
35.2  2.548  19  2 2 2
37.6  2.392  20  4 4 -3
54.8  1.676  23  1 5 -5

Crystal structure
abc: 12.306 17.234 10.578
angles: 90.00 124.04 90.00
Space group Cm (No. 8)
Symmetry-distinct sites (fractional):
Ca (0.000, 0.000, 0.000) (multiplicity 2)
Ca (0.025, 0.000, 0.367) (multiplicity 2)
Ca (0.075, 0.355, 0.427) (multiplicity 4)
Ca (0.079, 0.500, 0.702) (multiplicity 2)
Ca (0.172, 0.156, 0.606) (multiplicity 4)
Ca (0.198, 0.171, 0.019) (multiplicity 4)
Ca (0.218, 0.500, 0.314) (multiplicity 2)
Ca (0.311, 0.295, 0.334) (multiplicity 4)
Ca (0.466, 0.112, 0.986) (multiplicity 4)
Ca (0.498, 0.205, 0.709) (multiplicity 4)
Mg (0.021, 0.190, 0.199) (multiplicity 4)
Mg (0.184, 0.000, 0.811) (multiplicity 2)
Mg (0.264, 0.405, 0.042) (multiplicity 4)
Mg (0.287, 0.089, 0.392) (multiplicity 4)
Mg (0.332, 0.312, 0.842) (multiplicity 4)
Mg (0.367, 0.000, 0.189) (multiplicity 2)
Mg (0.421, 0.406, 0.659) (multiplicity 4)
Pd (0.306, 0.000, 0.644) (multiplicity 2)

---

Record 2
Diffraction record for Nd2Dy2Au3. The powder X-ray diffraction pattern is computed, not measured: it uses DFT lattice parameters and positions (GGA-PBE) and Cu Kα (weighted mean of Kα1 and Kα2).

Top 10 peaks for 5° ≤ 2θ ≤ 70°, by angle:
2θ/deg  d (Å)  I (rel.)  hkl
24.0  3.706  10  2 1 1
31.2  2.871  100  3 1 0
37.0  2.426  64  3 2 1
44.6  2.030  17  4 0 2
46.9  1.936  12  3 3 2
49.2  1.853  12  4 2 2
51.3  1.781  21  4 1 3
63.1  1.473  28  6 1 1
65.0  1.436  11  6 2 0
66.8  1.401  14  5 1 4

Crystal structure
abc: 9.079 9.079 9.079
angles: 90.00 90.00 90.00
Space group I2_13 (No. 199)
Symmetry-distinct sites (fractional):
Nd (0.073, 0.073, 0.073) (multiplicity 8)
Dy (0.182, 0.318, 0.682) (multiplicity 8)
Au (0.000, 0.250, 0.389) (multiplicity 12)